The following is a simulated powder diffraction line list of Pm5Sb2Te2. It was derived from a structure optimized by DFT (PBE), using Cu Ka.

Most intense lines, 2θ from 10° to 90°, most intense first:
2θ 34.73, rel. 100; 2θ 29.46, rel. 74; 2θ 33.14, rel. 67; 2θ 31.27, rel. 34; 2θ 30.54, rel. 28; 2θ 32.15, rel. 27

Crystal structure
Lattice parameters (Å, degrees): 8.9293 8.9293 8.2849 90.00 90.00 55.21
Positions (direct):
Pm (0.0000, 0.0000, 0.0000)
Pm (0.0251, 0.7055, 0.6586)
Pm (0.2055, 0.5251, 0.1586)
Pm (0.2945, 0.9749, 0.6586)
Pm (0.4749, 0.7945, 0.1586)
Pm (0.5000, 0.5000, 0.5000)
Pm (0.5251, 0.2055, 0.8414)
Pm (0.7055, 0.0251, 0.3414)
Pm (0.7945, 0.4749, 0.8414)
Pm (0.9749, 0.2945, 0.3414)
Sb (0.1420, 0.8580, 0.3587)
Sb (0.3580, 0.6420, 0.8587)
Sb (0.6420, 0.3580, 0.1413)
Sb (0.8580, 0.1420, 0.6413)
Te (0.1992, 0.1992, 0.0000)
Te (0.3008, 0.3008, 0.5000)
Te (0.6992, 0.6992, 0.5000)
Te (0.8008, 0.8008, 0.0000)


The following is a simulated powder diffraction line list of Rb3Cu2Br5Cl2. It was derived from a structure optimized by DFT (PBE), using Cu Ka.

Most intense lines, 2θ from 10° to 90°, most intense first:
2θ 34.27, rel. 100; 2θ 31.65, rel. 92; 2θ 49.13, rel. 53; 2θ 24.01, rel. 49; 2θ 34.11, rel. 39; 2θ 27.66, rel. 37

Crystal structure
Lattice parameters (Å, degrees): 13.6551 13.6551 13.6551 157.90 157.90 31.45
Positions (direct):
Rb (0.0000, 0.0000, 0.0000)
Rb (0.1840, 0.1840, 0.0000)
Rb (0.8160, 0.8160, 0.0000)
Cu (0.4006, 0.4006, 0.0000)
Cu (0.5994, 0.5994, 0.0000)
Br (0.0946, 0.5946, 0.5000)
Br (0.4054, 0.9054, 0.5000)
Br (0.5000, 0.5000, 0.0000)
Br (0.5946, 0.0946, 0.5000)
Br (0.9054, 0.4054, 0.5000)
Cl (0.3101, 0.3101, 0.0000)
Cl (0.6899, 0.6899, 0.0000)


The following is a simulated powder diffraction line list of Pd2Pb8Au3. It was derived from a structure optimized by DFT (PBE), using Cu Ka.

Most intense lines, 2θ from 10° to 90°, most intense first:
2θ 36.23, rel. 100; 2θ 64.76, rel. 28; 2θ 35.89, rel. 26; 2θ 36.75, rel. 24; 2θ 65.84, rel. 18; 2θ 52.31, rel. 18

Crystal structure
Lattice parameters (Å, degrees): 8.6300 8.6300 4.8914 90.00 90.00 109.13
Positions (direct):
Pd (0.2491, 0.7509, 0.0000)
Pd (0.7509, 0.2491, 0.0000)
Pb (0.1136, 0.3771, 0.0000)
Pb (0.1272, 0.8728, 0.5000)
Pb (0.3695, 0.6305, 0.5000)
Pb (0.3771, 0.1136, 0.0000)
Pb (0.6229, 0.8864, 0.0000)
Pb (0.6305, 0.3695, 0.5000)
Pb (0.8728, 0.1272, 0.5000)
Pb (0.8864, 0.6229, 0.0000)
Au (0.2426, 0.2426, 0.5000)
Au (0.5000, 0.5000, 0.0000)
Au (0.7574, 0.7574, 0.5000)


The following is a simulated powder diffraction line list of CsCaMnBr6. It was derived from a structure optimized by DFT (PBE), using Cu Ka.

Most intense lines, 2θ from 10° to 90°, most intense first:
2θ 33.38, rel. 100; 2θ 27.12, rel. 95; 2θ 17.99, rel. 77; 2θ 43.52, rel. 31; 2θ 39.84, rel. 31; 2θ 52.04, rel. 28

Crystal structure
Lattice parameters (Å, degrees): 7.2034 7.2034 8.0530 90.00 90.00 120.00
Positions (direct):
Cs (0.0000, 0.0000, 0.0000)
Ca (0.3333, 0.6667, 0.5000)
Mn (0.6667, 0.3333, 0.5000)
Br (0.3889, 0.0339, 0.6897)
Br (0.3889, 0.3550, 0.3103)
Br (0.6450, 0.0339, 0.3103)
Br (0.6450, 0.6111, 0.6897)
Br (0.9661, 0.3550, 0.6897)
Br (0.9661, 0.6111, 0.3103)